1.
This entry pairs a crystal structure of CsHoMo2O8 with its simulated powder diffraction line list. Radiation: Cu Kα (λ = 1.5418 Å). Structure: DFT lattice parameters and positions (GGA+U).
Neutral-atom scattering factors, no anomalous dispersion.

Most intense lines, 10° ≤ 2θ ≤ 90°, most intense first:
d/Å  I/Imax
3.191  100
3.517  98
3.144  58
1.973  44
1.774  27
1.596  19
1.939  16
2.054  15
2.534  15
1.450  13

Cell and atoms:
```
24
Lattice="5.0674 0.0000 0.0000 0.0000 9.7689 0.0000 0.0000 0.0000 8.2163" Properties=species:S:1:pos:R:3 pbc="T T T"
Cs 0.0000 0.0000 2.0541
Cs 0.0000 0.0000 6.1623
Ho 0.0000 4.8844 2.0541
Ho 0.0000 4.8844 6.1623
Mo 2.4119 3.0157 0.0000
Mo 2.4119 6.7532 4.1082
Mo 2.6555 3.0157 4.1082
Mo 2.6555 6.7532 0.0000
O 1.2462 4.2369 4.1082
O 1.2462 5.5320 0.0000
O 1.3122 3.1214 1.4328
O 1.3122 3.1214 6.7836
O 1.3122 6.6474 2.6754
O 1.3122 6.6474 5.5409
O 1.9879 1.3967 4.1082
O 1.9879 8.3721 0.0000
O 3.0794 1.3967 0.0000
O 3.0794 8.3721 4.1082
O 3.7551 3.1214 2.6754
O 3.7551 3.1214 5.5409
O 3.7551 6.6474 1.4328
O 3.7551 6.6474 6.7836
O 3.8212 4.2369 0.0000
O 3.8212 5.5320 4.1082
```

***

2.
This entry pairs a crystal structure of CsHoMo2O8 with its simulated powder diffraction line list. Radiation: Cu Kα (λ = 1.5418 Å). Structure: DFT lattice parameters and positions (GGA+U).
Neutral-atom scattering factors, no anomalous dispersion.

Most intense lines, 10° ≤ 2θ ≤ 90°, most intense first:
d/Å  I/Imax
3.243  100
3.127  75
2.937  37
2.648  22
3.234  19
1.712  16
1.968  16
2.706  14
1.799  12
1.768  12

Cell and atoms:
```
24
Lattice="5.4209 -5.3015 0.0000 5.4209 5.3015 0.0000 -5.0866 0.0000 5.8734" Properties=species:S:1:pos:R:3 pbc="T T T"
Cs 1.6060 3.2129 4.4050
Cs 4.1493 -3.2129 1.4683
Ho 4.1493 2.8695 1.4683
Ho 1.6060 -2.8695 4.4050
Mo 1.9533 0.0179 1.5647
Mo -0.5899 -0.0179 4.5014
Mo 6.3452 0.0179 1.3720
Mo 3.8019 -0.0179 4.3087
O -2.1303 0.8557 4.1041
O 1.8104 1.6631 0.7212
O 0.4130 -0.8557 1.1674
O 0.5054 0.7525 3.3231
O 5.0006 1.1511 0.1987
O -0.7329 -1.6631 3.6579
O 3.0487 -0.7525 0.3864
O 3.2980 1.1511 2.7380
O 2.4573 -1.1511 3.1354
O 2.7066 0.7525 5.4870
O 6.4882 1.6631 2.2155
O 0.7547 -1.1511 5.6747
O 5.2498 -0.7525 2.5503
O 5.3423 0.8557 4.7060
O 3.9449 -1.6631 5.1522
O 7.8855 -0.8557 1.7693
```

***

3.
This entry pairs a crystal structure of CsHoMo2O8 with its simulated powder diffraction line list. Radiation: Cu Kα (λ = 1.5418 Å). Structure: DFT lattice parameters and positions (GGA+U).
Neutral-atom scattering factors, no anomalous dispersion.

Most intense lines, 10° ≤ 2θ ≤ 90°, most intense first:
d/Å  I/Imax
3.200  100
3.520  74
3.099  22
1.962  17
1.759  15
1.988  15
1.598  14
2.060  12
2.535  11
1.798  10

Cell and atoms:
```
24
Lattice="9.7891 0.0000 0.0000 0.0000 5.0693 0.0000 -0.2864 0.0000 8.2406" Properties=species:S:1:pos:R:3 pbc="T T T"
Cs -0.0716 0.1657 2.0602
Cs -0.2148 4.9036 6.1805
Ho 4.6797 0.0059 6.1805
Ho 4.8229 5.0634 2.0602
Mo 2.8874 2.4131 4.0527
Mo 2.7442 2.6562 8.1730
Mo 6.7585 2.4131 0.0676
Mo 6.6153 2.6562 4.1880
O 1.1281 1.9768 8.0991
O 1.2713 3.0925 3.9788
O 2.9394 1.3120 5.4903
O 3.0826 3.7573 1.3699
O 3.0510 1.3129 2.6249
O 2.9078 3.7564 6.7452
O 3.9644 1.2468 8.2186
O 4.1076 3.8226 4.0983
O 5.3951 1.2468 4.1424
O 5.5383 3.8226 0.0221
O 6.5948 1.3129 1.4954
O 6.4516 3.7564 5.6158
O 6.4200 1.3120 6.8707
O 6.5633 3.7573 2.7504
O 8.2313 1.9768 4.2618
O 8.3746 3.0925 0.1415
```

***

4.
This entry pairs a crystal structure of CsK2LaV2O8 with its simulated powder diffraction line list. Radiation: Cu Kα (λ = 1.5418 Å). Structure: DFT lattice parameters and positions (GGA+U).
Neutral-atom scattering factors, no anomalous dispersion.

Most intense lines, 10° ≤ 2θ ≤ 90°, most intense first:
d/Å  I/Imax
2.970  100
3.153  84
3.048  73
3.169  44
4.348  43
1.745  31
2.197  28
3.532  26
4.394  26
1.778  25

Cell and atoms:
```
28
Lattice="7.9651 0.0000 0.0000 0.0000 6.0964 0.0000 -0.2021 0.0000 10.2007" Properties=species:S:1:pos:R:3 pbc="T T T"
Cs 0.9153 1.5241 4.1743
Cs 6.8477 4.5723 6.0264
K -0.0101 4.5723 1.9409
K 2.2379 4.5723 9.3756
K 5.5251 1.5241 0.8252
K 7.7730 1.5241 8.2599
La 3.7931 1.5241 7.2580
La 3.9698 4.5723 2.9428
V 2.0951 1.5241 0.8552
V 2.3808 4.5723 5.8946
V 5.3821 1.5241 4.3061
V 5.6678 4.5723 9.3455
O 0.3784 1.5241 0.9204
O 1.6897 4.5723 4.2889
O 1.9433 3.1323 6.7981
O 1.9433 6.0123 6.7981
O 2.4199 1.5241 9.3906
O 2.6960 0.0731 1.6553
O 2.6960 2.9751 1.6553
O 3.6958 1.5241 4.6336
O 4.0671 4.5723 5.5672
O 5.0669 3.1213 8.5455
O 5.0669 6.0233 8.5455
O 5.3430 4.5723 0.8101
O 5.8197 0.0841 3.4027
O 5.8197 2.9641 3.4027
O 6.0732 1.5241 5.9118
O 7.3845 4.5723 9.2803
```